Diffraction record for Pm3HoGe3. The powder diffractogram is simulated, not measured: it uses a GGA-PBE-relaxed structure and Cu Kα (weighted mean of Kα1 and Kα2).
Lines closer than 0.1° are merged.

Structural model:
abc: 7.879 7.879 7.879
angles: 68.08 68.08 68.08
Atoms (fractional coordinates):
Pm: 0.104 0.808 0.369
Pm: 0.192 0.631 0.896
Pm: 0.369 0.104 0.808
Pm: 0.631 0.896 0.192
Pm: 0.808 0.369 0.104
Pm: 0.896 0.192 0.631
Ho: 0.330 0.330 0.330
Ho: 0.670 0.670 0.670
Ge: 0.066 0.449 0.704
Ge: 0.296 0.934 0.551
Ge: 0.449 0.704 0.066
Ge: 0.551 0.296 0.934
Ge: 0.704 0.066 0.449
Ge: 0.934 0.551 0.296

Peak list (10 most intense, 10 to 90 degrees two-theta, most intense first)
2θ/deg	I (rel.)
36.16	100
35.25	98
25.04	63
51.40	37
32.56	37
31.38	37
29.72	26
46.76	19
20.13	18
49.94	16

Diffraction record for PmHoGePt. The powder diffractogram is simulated, not measured: it uses a GGA-PBE-relaxed structure and Cu Kα (weighted mean of Kα1 and Kα2).
Lines closer than 0.1° are merged.

Structural model:
abc: 4.273 4.015 10.986
angles: 90.00 90.00 90.00
Atoms (fractional coordinates):
Pm: 0.000 0.000 0.000
Pm: 0.000 0.500 0.500
Ho: 0.500 0.000 0.278
Ho: 0.500 0.500 0.778
Ge: 0.000 0.000 0.723
Ge: 0.000 0.500 0.223
Pt: 0.500 0.000 0.556
Pt: 0.500 0.500 0.056

Peak list (10 most intense, 10 to 90 degrees two-theta, most intense first)
2θ/deg	I (rel.)
31.65	100
39.42	67
32.60	30
63.63	29
33.11	27
42.30	26
38.98	24
79.45	23
45.17	21
54.41	14